1.
The following is a theoretical powder diffraction line list of Th2Zn. It was derived from a structure optimized by DFT (GGA-PBE), using Cu Kα.
Intensities are scaled so that the largest is 100.

```
data_Th2Zn
_cell_length_a 7.6347
_cell_length_b 7.6347
_cell_length_c 5.5727
_cell_angle_alpha 90.00
_cell_angle_beta 90.00
_cell_angle_gamma 90.00
_symmetry_space_group_name_H-M 'I 4/m c m'
_symmetry_Int_Tables_number 140
_symmetry_space_group_name_Hall '-I 4 2c'
loop_
_atom_site_label
_atom_site_fract_x
_atom_site_fract_y
_atom_site_fract_z
Th1 0.1581 0.3419 0.0000
Zn1 0.0000 0.0000 0.2500
```

The 6 most intense peaks (10 to 90 degrees two-theta), by angle:
2theta  I_rel
30.71  100
37.24  25
52.04  16
56.39  19
61.33  16
68.26  14

***

2.
The following is a theoretical powder diffraction line list of B. It was derived from a structure optimized by DFT (GGA-PBE), using Cu Kα.
Intensities are scaled so that the largest is 100.

```
data_B
_cell_length_a 8.8663
_cell_length_b 8.8663
_cell_length_c 4.9256
_cell_angle_alpha 90.00
_cell_angle_beta 90.00
_cell_angle_gamma 90.00
_symmetry_space_group_name_H-M 'P 42/n n m'
_symmetry_Int_Tables_number 134
loop_
_symmetry_equiv_pos_as_xyz
'x,y,z'
'-x,-y,-z'
'-y+1/2,x,z+1/2'
'y+1/2,-x,-z+1/2'
'-x+1/2,-y+1/2,z'
'x+1/2,y+1/2,-z'
'y,-x+1/2,z+1/2'
'-y,x+1/2,-z+1/2'
'x,-y+1/2,-z+1/2'
'-x,y+1/2,z+1/2'
'-y+1/2,-x+1/2,-z'
'y+1/2,x+1/2,z'
'-x+1/2,y,-z+1/2'
'x+1/2,-y,z+1/2'
'y,x,-z'
'-y,-x,z'
loop_
_atom_site_label
_atom_site_fract_x
_atom_site_fract_y
_atom_site_fract_z
B1 0.0044 0.5044 0.1760
B2 0.0215 0.6670 0.6623
B3 0.0798 0.1642 0.8442
B4 0.1215 0.6215 0.3575
B5 0.2500 0.7500 0.2500
```

The 6 most intense peaks (10 to 90 degrees two-theta), by angle:
2theta  I_rel
20.03  100
22.96  61
36.48  29
36.89  66
65.93  28
68.56  21

***

3.
The following is a theoretical powder diffraction line list of CoP2W. It was derived from a structure optimized by DFT (GGA-PBE), using Cu Kα.
Intensities are scaled so that the largest is 100.

```
data_CoP2W
_cell_length_a 3.2833
_cell_length_b 3.2833
_cell_length_c 11.3848
_cell_angle_alpha 90.00
_cell_angle_beta 90.00
_cell_angle_gamma 120.00
_symmetry_space_group_name_H-M 'P 63/m m c'
_symmetry_Int_Tables_number 194
_symmetry_space_group_name_Hall '-P 6c 2c'
loop_
_atom_site_label
_atom_site_fract_x
_atom_site_fract_y
_atom_site_fract_z
Co1 0.0000 0.0000 0.2500
P1 0.3333 0.6667 0.1408
W1 0.0000 0.0000 0.0000
```

The 6 most intense peaks (10 to 90 degrees two-theta), by angle:
2theta  I_rel
15.57  33
31.46  100
35.28  40
45.07  96
56.02  31
74.60  35

***

4.
The following is a theoretical powder diffraction line list of PrZnSbO. It was derived from a structure optimized by DFT (GGA-PBE), using Cu Kα.
Intensities are scaled so that the largest is 100.

```
data_PrZnSbO
_cell_length_a 4.2095
_cell_length_b 4.2095
_cell_length_c 9.6690
_cell_angle_alpha 90.00
_cell_angle_beta 90.00
_cell_angle_gamma 90.00
_symmetry_space_group_name_H-M 'P 4/n m m'
_symmetry_Int_Tables_number 129
loop_
_symmetry_equiv_pos_as_xyz
'x,y,z'
'-x,-y,-z'
'-y+1/2,x,z'
'y+1/2,-x,-z'
'-x+1/2,-y+1/2,z'
'x+1/2,y+1/2,-z'
'y,-x+1/2,z'
'-y,x+1/2,-z'
'x+1/2,-y,-z'
'-x+1/2,y,z'
'-y,-x,-z'
'y,x,z'
'-x,y+1/2,-z'
'x,-y+1/2,z'
'y+1/2,x+1/2,-z'
'-y+1/2,-x+1/2,z'
loop_
_atom_site_label
_atom_site_fract_x
_atom_site_fract_y
_atom_site_fract_z
Pr1 0.2500 0.2500 0.1177
Zn1 0.2500 0.7500 0.5000
Sb1 0.2500 0.2500 0.6813
O1 0.2500 0.7500 0.0000
```

The 6 most intense peaks (10 to 90 degrees two-theta), by angle:
2theta  I_rel
28.11  100
30.02  23
35.41  24
42.97  35
48.52  24
52.14  36

***

5.
The following is a theoretical powder diffraction line list of K5Zn4Sn5H4S17N. It was derived from a structure optimized by DFT (GGA-PBE), using Cu Kα.
Intensities are scaled so that the largest is 100.

```
data_K5Zn4Sn5H4S17N
_cell_length_a 14.0685
_cell_length_b 14.0685
_cell_length_c 9.7885
_cell_angle_alpha 90.00
_cell_angle_beta 90.00
_cell_angle_gamma 90.00
_symmetry_space_group_name_H-M 'I -4 m 2'
_symmetry_Int_Tables_number 119
_symmetry_space_group_name_Hall 'I -4 -2'
loop_
_atom_site_label
_atom_site_fract_x
_atom_site_fract_y
_atom_site_fract_z
K1 0.0000 0.0000 0.0000
K2 0.2400 0.2400 0.5000
Zn1 0.0000 0.1362 0.6379
Sn1 0.0000 0.2228 0.2790
Sn2 0.0000 0.5000 0.2500
H1 0.0000 0.4409 0.8115
S1 0.0000 0.0000 0.5000
S2 0.0000 0.2787 0.5105
S3 0.0000 0.3565 0.1100
S4 0.1357 0.1412 0.7790
N1 0.0000 0.5000 0.7500
```

The 6 most intense peaks (10 to 90 degrees two-theta), by angle:
2theta  I_rel
11.01  100
25.32  23
27.09  36
27.69  31
42.42  20
52.46  21

***

6.
The following is a theoretical powder diffraction line list of CeH2. It was derived from a structure optimized by DFT (GGA-PBE), using Cu Kα.
Intensities are scaled so that the largest is 100.

```
data_CeH2
_cell_length_a 5.4564
_cell_length_b 5.4564
_cell_length_c 5.4564
_cell_angle_alpha 90.00
_cell_angle_beta 90.00
_cell_angle_gamma 90.00
_symmetry_space_group_name_H-M 'F m -3 m'
_symmetry_Int_Tables_number 225
_symmetry_space_group_name_Hall '-F 4 2 3'
loop_
_atom_site_label
_atom_site_fract_x
_atom_site_fract_y
_atom_site_fract_z
Ce1 0.0000 0.0000 0.0000
H1 0.2500 0.2500 0.2500
```

The 6 most intense peaks (10 to 90 degrees two-theta), by angle:
2theta  I_rel
28.33  100
32.83  49
47.11  38
55.89  45
76.03  18
78.37  16

***

7.
The following is a theoretical powder diffraction line list of BSBr. It was derived from a structure optimized by DFT (GGA-PBE), using Cu Kα.
Intensities are scaled so that the largest is 100.

```
data_BSBr
_cell_length_a 14.6871
_cell_length_b 4.9544
_cell_length_c 18.9268
_cell_angle_alpha 90.00
_cell_angle_beta 115.28
_cell_angle_gamma 90.00
_symmetry_space_group_name_H-M 'P 1 21/c 1'
_symmetry_Int_Tables_number 14
loop_
_symmetry_equiv_pos_as_xyz
'x,y,z'
'-x,-y,-z'
'-x,y+1/2,-z+1/2'
'x,-y+1/2,z+1/2'
loop_
_atom_site_label
_atom_site_fract_x
_atom_site_fract_y
_atom_site_fract_z
B1 0.1125 0.1599 0.1639
B2 0.2521 0.1541 0.6003
B3 0.3246 0.2388 0.7690
S1 0.1231 0.2442 0.5758
S2 0.2057 0.1442 0.2642
S3 0.3609 0.1340 0.6934
Br1 0.0210 0.5538 0.3517
Br2 0.2779 0.0592 0.5116
Br3 0.4319 0.2264 0.8733
```

The 6 most intense peaks (10 to 90 degrees two-theta), by angle:
2theta  I_rel
19.11  100
20.36  48
21.64  73
29.11  50
29.26  53
30.66  61